No. 1
Structure and calculated XRD peak list of CeMg14Fe (a crystal structure in Alexandria, relaxed with PBE; Cu Kα).
Peak positions follow from Bragg's law for the DFT cell and can differ from measured ones.

Top 12 peaks for 2θ from 5° to 70°, low angle first:
2θ/deg	I/Imax	(hkl)
15.90	39	1 0 0
18.15	13	1 0 1
23.66	27	1 0 2
32.13	29	2 0 0
32.93	12	1 1 2
35.23	23	0 0 4
36.77	100	2 0 2
46.67	11	2 1 2
48.42	18	2 0 4
57.27	17	2 2 0
64.23	16	2 0 6
69.06	18	2 2 4

Atomic structure:
```
data_CeMg14Fe
_cell_length_a 6.4342
_cell_length_b 6.4342
_cell_length_c 10.1891
_cell_angle_alpha 90.00
_cell_angle_beta 90.00
_cell_angle_gamma 120.00
_space_group_name_H-M_alt 'P -6 m 2'
_space_group_IT_number 187
_space_group_name_Hall 'P -6 2'
loop_
_atom_site_label
_atom_site_type_symbol
_atom_site_fract_x
_atom_site_fract_y
_atom_site_fract_z
_atom_site_occupancy
Ce1 Ce 0.0000 0.0000 0.0000 1
Mg1 Mg 0.0163 0.5081 0.0000 1
Mg2 Mg 0.1620 0.3241 0.2679 1
Mg3 Mg 0.5041 0.0082 0.5000 1
Mg4 Mg 0.6667 0.3333 0.2360 1
Fe1 Fe 0.0000 0.0000 0.5000 1
```

=====

No. 2
Structure and calculated XRD peak list of CeFeMoP2 (a crystal structure in Alexandria, relaxed with PBE; Cu Kα).
Peak positions follow from Bragg's law for the DFT cell and can differ from measured ones.

Top 12 peaks for 2θ from 5° to 70°, low angle first:
2θ/deg	I/Imax	(hkl)
23.76	37	1 0 1
34.92	48	1 0 3
35.95	17	0 0 4
36.23	100	1 1 2
44.89	40	2 0 0
48.41	3	1 1 4
50.99	14	1 0 5
51.42	10	2 1 1
58.10	22	2 1 3
58.80	16	2 0 4
64.81	20	1 1 6
65.36	13	2 2 0

Atomic structure:
```
data_CeFeMoP2
_cell_length_a 4.038
_cell_length_b 4.038
_cell_length_c 9.992
_cell_angle_alpha 90.00
_cell_angle_beta 90.00
_cell_angle_gamma 90.00
_space_group_name_H-M_alt 'I -4 m 2'
_space_group_IT_number 119
_space_group_name_Hall 'I -4 -2'
loop_
_atom_site_label
_atom_site_type_symbol
_atom_site_fract_x
_atom_site_fract_y
_atom_site_fract_z
_atom_site_occupancy
Ce1 Ce 0.000 0.000 0.000 1
Fe1 Fe 0.000 0.500 0.250 1
Mo1 Mo 0.000 0.500 0.750 1
P1 P 0.000 0.000 0.368 1
```

=====

No. 3
Structure and calculated XRD peak list of CeFeN2 (a crystal structure in Alexandria, relaxed with PBE; Cu Kα).
Peak positions follow from Bragg's law for the DFT cell and can differ from measured ones.

Top 12 peaks for 2θ from 5° to 70°, low angle first:
2θ/deg	I/Imax	(hkl)
19.07	10	1 0 0
23.71	41	0 1 1
33.34	93	1 1 0
34.22	100	1 0 2
38.69	6	2 0 0
41.32	21	2 0 1
48.52	42	0 2 2
54.10	16	1 2 1
55.29	11	1 1 3
59.58	15	3 0 0
60.15	34	2 1 2
61.82	18	0 1 4

Atomic structure:
```
data_CeFeN2
_cell_length_a 5.3750
_cell_length_b 5.3750
_cell_length_c 6.3411
_cell_angle_alpha 90.00
_cell_angle_beta 90.00
_cell_angle_gamma 120.00
_space_group_name_H-M_alt 'P 31 2 1'
_space_group_IT_number 152
loop_
_space_group_symop_operation_xyz
'x,y,z'
'-y,x-y,z+1/3'
'-x+y,-x,z+2/3'
'y,x,-z'
'x-y,-y,-z+2/3'
'-x,-x+y,-z+1/3'
loop_
_atom_site_label
_atom_site_type_symbol
_atom_site_fract_x
_atom_site_fract_y
_atom_site_fract_z
_atom_site_occupancy
Ce1 Ce 0.0000 0.6488 0.1667 1
Fe1 Fe 0.0000 0.5937 0.6667 1
N1 N 0.1124 0.4312 0.8789 1
```

=====

No. 4
Structure and calculated XRD peak list of Ce2NdFe2N6 (a crystal structure in Alexandria, relaxed with PBE; Cu Kα).
Peak positions follow from Bragg's law for the DFT cell and can differ from measured ones.

Top 12 peaks for 2θ from 5° to 70°, low angle first:
2θ/deg	I/Imax	(hkl)
19.07	17	1 0 1
26.67	11	1 0 4
30.38	100	0 1 5
32.26	84	1 1 0
42.33	9	0 2 4
43.79	7	0 0 9
44.90	42	2 0 5
52.76	21	1 0 10
56.36	35	1 2 5
57.53	16	3 0 0
63.21	11	0 2 10
67.51	13	2 2 0

Atomic structure:
```
data_Ce2NdFe2N6
_cell_length_a 5.5500
_cell_length_b 5.5500
_cell_length_c 18.6040
_cell_angle_alpha 90.00
_cell_angle_beta 90.00
_cell_angle_gamma 120.00
_space_group_name_H-M_alt 'R -3 m'
_space_group_IT_number 166
_space_group_name_Hall '-R 3 2"'
loop_
_atom_site_label
_atom_site_type_symbol
_atom_site_fract_x
_atom_site_fract_y
_atom_site_fract_z
_atom_site_occupancy
Ce1 Ce 0.0000 0.0000 0.2030 1
Nd1 Nd 0.0000 0.0000 0.0000 1
Fe1 Fe 0.0000 0.0000 0.4104 1
N1 N 0.0065 0.5032 0.7683 1
```

=====

No. 5
Structure and calculated XRD peak list of Ce2PmFe2N6 (a crystal structure in Alexandria, relaxed with PBE; Cu Kα).
Peak positions follow from Bragg's law for the DFT cell and can differ from measured ones.

Top 12 peaks for 2θ from 5° to 70°, low angle first:
2θ/deg	I/Imax	(hkl)
19.09	18	1 0 1
26.82	12	1 0 4
30.59	100	0 1 5
32.28	85	1 1 0
42.45	9	0 2 4
45.06	42	2 0 5
53.27	21	1 0 10
55.83	7	1 1 9
56.51	35	1 2 5
57.57	16	3 0 0
63.67	11	0 2 10
67.56	13	2 2 0

Atomic structure:
```
data_Ce2PmFe2N6
_cell_length_a 5.5464
_cell_length_b 5.5464
_cell_length_c 18.4167
_cell_angle_alpha 90.00
_cell_angle_beta 90.00
_cell_angle_gamma 120.00
_space_group_name_H-M_alt 'R -3 m'
_space_group_IT_number 166
_space_group_name_Hall '-R 3 2"'
loop_
_atom_site_label
_atom_site_type_symbol
_atom_site_fract_x
_atom_site_fract_y
_atom_site_fract_z
_atom_site_occupancy
Ce1 Ce 0.0000 0.0000 0.2038 1
Pm1 Pm 0.0000 0.0000 0.0000 1
Fe1 Fe 0.0000 0.0000 0.4093 1
N1 N 0.0066 0.5033 0.7676 1
```

=====

No. 6
Structure and calculated XRD peak list of CeNd3Fe (a crystal structure in Alexandria, relaxed with PBE; Cu Kα).
Peak positions follow from Bragg's law for the DFT cell and can differ from measured ones.

Top 12 peaks for 2θ from 5° to 70°, low angle first:
2θ/deg	I/Imax	(hkl)
16.38	5	1 0 0
23.24	3	1 1 0
28.57	100	1 1 1
33.11	77	2 0 0
37.15	2	2 1 0
40.84	1	2 1 1
47.52	56	2 2 0
50.60	1	3 0 0
56.39	45	3 1 1
59.14	19	2 2 2
64.42	1	3 2 1
69.47	9	4 0 0

Atomic structure:
```
data_CeNd3Fe
_cell_length_a 5.412
_cell_length_b 5.412
_cell_length_c 5.412
_cell_angle_alpha 90.00
_cell_angle_beta 90.00
_cell_angle_gamma 90.00
_space_group_name_H-M_alt 'P m -3 m'
_space_group_IT_number 221
_space_group_name_Hall '-P 4 2 3'
loop_
_atom_site_label
_atom_site_type_symbol
_atom_site_fract_x
_atom_site_fract_y
_atom_site_fract_z
_atom_site_occupancy
Ce1 Ce 0.000 0.000 0.000 1
Nd1 Nd 0.000 0.500 0.500 1
Fe1 Fe 0.500 0.500 0.500 1
```